Theoretical powder XRD pattern
Compound: Tc5Ge
Radiation: Cu Kα, 1.54184 Å
Structure: a crystal structure in Alexandria, relaxed with GGA-PBE

Largest 8 diffraction maxima, low angle first, 10° ≤ 2θ ≤ 90°:
- 2.540 Å, 35.34°, I = 32, (1 1 2)
- 2.321 Å, 38.80°, I = 70, (2 0 1)
- 2.217 Å, 40.70°, I = 100, (0 1 3)
- 2.207 Å, 40.88°, I = 87, (1 2 0)
- 2.042 Å, 44.36°, I = 29, (2 0 2)
- 2.019 Å, 44.90°, I = 74, (1 1 3)
- 1.888 Å, 48.21°, I = 39, (2 1 2)
- 1.197 Å, 80.17°, I = 36, (2 3 3)

abc: 4.8863 4.9483 7.4395
angles: 90.00 90.00 90.00
Fractional coordinates of all 12 atoms:
Tc (0.0000, 0.0000, 0.0623)
Tc (0.2382, 0.6401, 0.5984)
Tc (0.2494, 0.1321, 0.7451)
Tc (0.2506, 0.6321, 0.2549)
Tc (0.2618, 0.1401, 0.4016)
Tc (0.5000, 0.5000, 0.9377)
Tc (0.7382, 0.8599, 0.4016)
Tc (0.7494, 0.3679, 0.2549)
Tc (0.7506, 0.8679, 0.7451)
Tc (0.7618, 0.3599, 0.5984)
Ge (0.0000, 0.5000, 0.9332)
Ge (0.5000, 0.0000, 0.0668)